1.
The following is a theoretical powder diffractogram of RbIn2AgI8. It was derived from a DFT-relaxed cell (GGA-PBE, Alexandria), using Cu Kα.
Lines closer than 0.1° are merged.

Crystal structure
a b c (Å): 7.6602 7.6602 10.8318
angles (deg): 90.00 90.00 120.00
Space group P-3 (No. 147)
One atom of each set of equivalent atoms:
Rb: 0.0000 0.0000 0.0000 [1 per cell]
In: 0.3333 0.6667 0.7474 [2 per cell]
Ag: 0.0000 0.0000 0.5000 [1 per cell]
I: 0.0065 0.6864 0.3275 [6 per cell]
I: 0.3333 0.6667 0.0019 [2 per cell]

Principal peaks in the range 10° ≤ 2θ ≤ 90°, in order of falling intensity:
d (Å)	two_theta	I/Imax
3.611	24.65	1000
2.211	40.81	817
3.127	28.54	498
1.886	48.26	446
5.657	15.66	291
1.277	74.29	266


2.
The following is a theoretical powder diffractogram of BaTeCl6. It was derived from a DFT-relaxed cell (GGA-PBE, Alexandria), using Cu Kα.
Lines closer than 0.1° are merged.

Crystal structure
a b c (Å): 7.801 11.478 6.265
angles (deg): 90.00 106.55 90.00
Space group C2/m (No. 12)
One atom of each set of equivalent atoms:
Ba: 0.000 0.000 0.000 [2 per cell]
Te: 0.000 0.500 0.500 [2 per cell]
Cl: 0.157 0.344 0.783 [8 per cell]
Cl: 0.215 0.000 0.627 [4 per cell]

Principal peaks in the range 10° ≤ 2θ ≤ 90°, in order of falling intensity:
d (Å)	two_theta	I/Imax
4.968	17.85	1000
5.739	15.44	840
2.811	31.84	698
3.896	22.82	424
2.514	35.71	354
2.661	33.68	302


3.
The following is a theoretical powder diffractogram of K3Mn2Cl7. It was derived from a DFT-relaxed cell (GGA-PBE, Alexandria), using Cu Kα.
Lines closer than 0.1° are merged.

Crystal structure
a b c (Å): 5.062 5.062 25.682
angles (deg): 90.00 90.00 90.00
Space group I4/mmm (No. 139)
One atom of each set of equivalent atoms:
K: 0.000 0.000 0.000 [2 per cell]
K: 0.000 0.000 0.181 [4 per cell]
Mn: 0.000 0.000 0.399 [4 per cell]
Cl: 0.000 0.000 0.303 [4 per cell]
Cl: 0.000 0.000 0.500 [2 per cell]
Cl: 0.000 0.500 0.097 [8 per cell]

Principal peaks in the range 10° ≤ 2θ ≤ 90°, in order of falling intensity:
d (Å)	two_theta	I/Imax
2.531	35.47	1000
1.803	50.64	498
2.746	32.61	493
3.579	24.88	448
2.568	34.94	411
6.420	13.79	352


4.
The following is a theoretical powder diffractogram of AlAg2Sb. It was derived from a DFT-relaxed cell (GGA-PBE, Alexandria), using Cu Kα.
Lines closer than 0.1° are merged.

Crystal structure
a b c (Å): 4.841 3.022 11.478
angles (deg): 90.00 90.00 90.00
Space group Amm2 (No. 38)
One atom of each set of equivalent atoms:
Al: 0.000 0.000 0.000 [2 per cell]
Ag: 0.000 0.000 0.302 [2 per cell]
Ag: 0.500 0.000 0.873 [2 per cell]
Sb: 0.500 0.000 0.138 [2 per cell]

Principal peaks in the range 10° ≤ 2θ ≤ 90°, in order of falling intensity:
d (Å)	two_theta	I/Imax
2.130	42.44	1000
2.468	36.40	812
2.502	35.89	614
2.421	37.14	531
2.923	30.59	464
5.739	15.44	358